1.
For NaAl5Ag7, a crystal structure in Alexandria, relaxed with GGA-PBE gives the theoretical powder diffractogram in this record (CuKα).
Lines closer than 0.1° are merged.

Structural model:
Unit cell a=7.1073 b=7.1073 c=7.1073 alpha=135.14 beta=98.23 gamma=98.52
Fractional positions:
Na 0.0000 0.0000 0.0000
Al 0.4862 0.4899 0.4975
Al 0.4862 0.9888 0.9963
Al 0.7712 0.2712 0.5000
Al 0.9924 0.4899 0.0037
Al 0.9924 0.9888 0.5025
Ag 0.1938 0.4862 0.7076
Ag 0.2178 0.7178 0.5000
Ag 0.3373 0.9959 0.3414
Ag 0.3442 0.3442 0.0000
Ag 0.6545 0.9959 0.6586
Ag 0.6681 0.6681 0.0000
Ag 0.7787 0.4862 0.2924

Principal peaks in the range 2θ from 10° to 90°, by intensity:
d = 2.327 Å, 38.69°, intensity 100
d = 2.690 Å, 33.30°, intensity 66
d = 2.091 Å, 43.26°, intensity 61
d = 2.712 Å, 33.03°, intensity 49
d = 3.285 Å, 27.15°, intensity 45
d = 2.078 Å, 43.56°, intensity 38
d = 6.570 Å, 13.48°, intensity 36
d = 2.082 Å, 43.46°, intensity 35
d = 1.343 Å, 70.06°, intensity 20
d = 2.342 Å, 38.44°, intensity 20

***

2.
For NaLi2RuAu, a crystal structure in Alexandria, relaxed with GGA-PBE gives the theoretical powder diffractogram in this record (CuKα).
Lines closer than 0.1° are merged.

Structural model:
Unit cell a=4.7835 b=4.7835 c=4.9900 alpha=90.00 beta=90.00 gamma=90.00
Fractional positions:
Na 0.0000 0.0000 0.0000
Li 0.0000 0.5000 0.5000
Li 0.5000 0.0000 0.5000
Ru 0.5000 0.5000 0.5000
Au 0.5000 0.5000 0.0000

Principal peaks in the range 2θ from 10° to 90°, by intensity:
d = 4.784 Å, 18.55°, intensity 100
d = 3.382 Å, 26.35°, intensity 57
d = 2.212 Å, 40.79°, intensity 28
d = 2.008 Å, 45.16°, intensity 27
d = 2.392 Å, 37.61°, intensity 25
d = 2.139 Å, 42.25°, intensity 25
d = 1.624 Å, 56.68°, intensity 21
d = 1.727 Å, 53.04°, intensity 19
d = 2.495 Å, 36.00°, intensity 14
d = 1.294 Å, 73.17°, intensity 13

***

3.
For TlCuBiSe2, a crystal structure in Alexandria, relaxed with GGA-PBE gives the theoretical powder diffractogram in this record (CuKα).
Lines closer than 0.1° are merged.

Structural model:
Unit cell a=7.6145 b=4.1631 c=8.9258 alpha=90.00 beta=95.74 gamma=90.00
Fractional positions:
Tl 0.0000 0.1121 0.2500
Tl 0.0000 0.8879 0.7500
Cu 0.5000 0.0000 0.0000
Cu 0.5000 0.0000 0.5000
Bi 0.5000 0.4844 0.7500
Bi 0.5000 0.5156 0.2500
Se 0.2516 0.3420 0.9823
Se 0.2516 0.6580 0.4823
Se 0.7484 0.3420 0.5177
Se 0.7484 0.6580 0.0177

Principal peaks in the range 2θ from 10° to 90°, by intensity:
d = 2.753 Å, 32.53°, intensity 100
d = 2.888 Å, 30.96°, intensity 59
d = 3.649 Å, 24.40°, intensity 53
d = 3.036 Å, 29.42°, intensity 49
d = 3.319 Å, 26.86°, intensity 41
d = 3.788 Å, 23.48°, intensity 35
d = 2.010 Å, 45.11°, intensity 33
d = 2.220 Å, 40.63°, intensity 33
d = 1.894 Å, 48.03°, intensity 21
d = 1.880 Å, 48.43°, intensity 18

***

4.
For Ba2SbC, a crystal structure in Alexandria, relaxed with GGA-PBE gives the theoretical powder diffractogram in this record (CuKα).
Lines closer than 0.1° are merged.

Structural model:
Unit cell a=8.6289 b=8.6289 c=7.0993 alpha=90.00 beta=90.00 gamma=90.00
Fractional positions:
Ba 0.1749 0.2500 0.1250
Ba 0.2500 0.6749 0.3750
Ba 0.2500 0.8251 0.8750
Ba 0.3251 0.2500 0.6250
Ba 0.6749 0.7500 0.6250
Ba 0.7500 0.1749 0.8750
Ba 0.7500 0.3251 0.3750
Ba 0.8251 0.7500 0.1250
Sb 0.0000 0.0000 0.5000
Sb 0.0000 0.5000 0.7500
Sb 0.5000 0.0000 0.2500
Sb 0.5000 0.5000 0.0000
C 0.0000 0.0000 0.0000
C 0.0000 0.5000 0.2500
C 0.5000 0.0000 0.7500
C 0.5000 0.5000 0.5000

Principal peaks in the range 2θ from 10° to 90°, by intensity:
d = 3.390 Å, 26.29°, intensity 100
d = 3.068 Å, 29.10°, intensity 93
d = 3.051 Å, 29.27°, intensity 52
d = 2.666 Å, 33.62°, intensity 38
d = 2.163 Å, 41.75°, intensity 34
d = 1.677 Å, 54.74°, intensity 25
d = 1.683 Å, 54.53°, intensity 24
d = 1.641 Å, 56.03°, intensity 23
d = 2.268 Å, 39.75°, intensity 15
d = 1.563 Å, 59.11°, intensity 14

***

5.
For Ca2SmN2Cl2, a crystal structure in Alexandria, relaxed with GGA-PBE gives the theoretical powder diffractogram in this record (CuKα).
Lines closer than 0.1° are merged.

Structural model:
Unit cell a=4.5129 b=4.5129 c=14.3481 alpha=90.00 beta=90.00 gamma=90.00
Fractional positions:
Ca 0.0000 0.0000 0.1074
Ca 0.0000 0.0000 0.8926
Ca 0.5000 0.5000 0.3926
Ca 0.5000 0.5000 0.6074
Sm 0.0000 0.0000 0.5000
Sm 0.5000 0.5000 0.0000
N 0.0000 0.5000 0.0000
N 0.0000 0.5000 0.5000
N 0.5000 0.0000 0.0000
N 0.5000 0.0000 0.5000
Cl 0.0000 0.0000 0.3048
Cl 0.0000 0.0000 0.6952
Cl 0.5000 0.5000 0.1952
Cl 0.5000 0.5000 0.8048

Principal peaks in the range 2θ from 10° to 90°, by intensity:
d = 2.422 Å, 37.13°, intensity 100
d = 3.191 Å, 27.96°, intensity 92
d = 7.174 Å, 12.34°, intensity 78
d = 1.651 Å, 55.68°, intensity 58
d = 4.305 Å, 20.63°, intensity 56
d = 2.256 Å, 39.96°, intensity 48
d = 3.282 Å, 27.17°, intensity 38
d = 1.147 Å, 84.44°, intensity 17
d = 1.859 Å, 48.99°, intensity 17
d = 2.152 Å, 41.97°, intensity 15

***

6.
For Nd7Sm2Er4, a crystal structure in Alexandria, relaxed with GGA-PBE gives the theoretical powder diffractogram in this record (CuKα).
Lines closer than 0.1° are merged.

Structural model:
Unit cell a=5.9173 b=6.6825 c=12.5582 alpha=94.33 beta=91.09 gamma=115.87
Fractional positions:
Nd 0.0000 0.0000 0.0000
Nd 0.0119 0.9677 0.5332
Nd 0.2659 0.5638 0.5615
Nd 0.3653 0.6236 0.0708
Nd 0.5041 0.9809 0.7685
Nd 0.6472 0.3434 0.4619
Nd 0.7479 0.4047 0.9713
Sm 0.1908 0.3470 0.8015
Sm 0.8202 0.6182 0.7310
Er 0.0861 0.2672 0.2952
Er 0.4948 0.8172 0.3516
Er 0.5174 0.1496 0.1807
Er 0.9262 0.6997 0.2375

Principal peaks in the range 2θ from 10° to 90°, by intensity:
d = 2.958 Å, 30.21°, intensity 100
d = 2.829 Å, 31.63°, intensity 96
d = 2.841 Å, 31.49°, intensity 95
d = 2.719 Å, 32.94°, intensity 77
d = 2.765 Å, 32.38°, intensity 55
d = 2.803 Å, 31.92°, intensity 55
d = 3.125 Å, 28.56°, intensity 29
d = 3.002 Å, 29.76°, intensity 29
d = 3.042 Å, 29.36°, intensity 28
d = 2.974 Å, 30.04°, intensity 25

***

7.
For Sm4Ho3In, a crystal structure in Alexandria, relaxed with GGA-PBE gives the theoretical powder diffractogram in this record (CuKα).
Lines closer than 0.1° are merged.

Structural model:
Unit cell a=8.3789 b=7.0794 c=8.4295 alpha=90.00 beta=95.50 gamma=90.00
Fractional positions:
Sm 0.0000 0.0000 0.0000
Sm 0.0555 0.5000 0.4059
Sm 0.2444 0.2591 0.7483
Sm 0.2444 0.7409 0.7483
Sm 0.3297 0.2526 0.1647
Sm 0.3297 0.7474 0.1647
Sm 0.4827 0.5000 0.5114
Sm 0.5830 0.0000 0.8932
Ho 0.0868 0.0000 0.4144
Ho 0.7327 0.2475 0.2418
Ho 0.7327 0.7525 0.2418
Ho 0.8168 0.2425 0.6538
Ho 0.8168 0.7575 0.6538
Ho 0.9696 0.5000 0.9895
In 0.4958 0.0000 0.4939
In 0.5757 0.5000 0.9087

Principal peaks in the range 2θ from 10° to 90°, by intensity:
d = 2.702 Å, 33.16°, intensity 100
d = 2.825 Å, 31.67°, intensity 38
d = 2.732 Å, 32.78°, intensity 29
d = 2.718 Å, 32.96°, intensity 27
d = 3.077 Å, 29.02°, intensity 27
d = 1.789 Å, 51.05°, intensity 20
d = 1.608 Å, 57.30°, intensity 15
d = 2.084 Å, 43.42°, intensity 13
d = 1.515 Å, 61.17°, intensity 11
d = 1.500 Å, 61.86°, intensity 11

***

8.
For Pm2PaSb3Ir4, a crystal structure in Alexandria, relaxed with GGA-PBE gives the theoretical powder diffractogram in this record (CuKα).
Lines closer than 0.1° are merged.

Structural model:
Unit cell a=4.4278 b=4.4278 c=11.4685 alpha=90.00 beta=90.00 gamma=90.00
Fractional positions:
Pm 0.0000 0.5000 0.2177
Pm 0.5000 0.0000 0.7823
Pa 0.0000 0.0000 0.5000
Sb 0.0000 0.5000 0.8662
Sb 0.5000 0.0000 0.1338
Sb 0.5000 0.5000 0.5000
Ir 0.0000 0.0000 0.0000
Ir 0.0000 0.5000 0.6398
Ir 0.5000 0.0000 0.3602
Ir 0.5000 0.5000 0.0000

Principal peaks in the range 2θ from 10° to 90°, by intensity:
d = 2.748 Å, 32.58°, intensity 100
d = 2.214 Å, 40.76°, intensity 61
d = 2.114 Å, 42.76°, intensity 49
d = 2.894 Å, 30.90°, intensity 32
d = 1.360 Å, 69.05°, intensity 23
d = 1.565 Å, 59.00°, intensity 21
d = 2.037 Å, 44.48°, intensity 19
d = 1.258 Å, 75.57°, intensity 19
d = 5.734 Å, 15.45°, intensity 16
d = 1.758 Å, 52.01°, intensity 15

***

9.
For TbNdCdAg, a crystal structure in Alexandria, relaxed with GGA-PBE gives the theoretical powder diffractogram in this record (CuKα).
Lines closer than 0.1° are merged.

Structural model:
Unit cell a=3.7409 b=3.7409 c=7.5626 alpha=90.00 beta=90.00 gamma=90.00
Fractional positions:
Tb 0.0000 0.0000 0.0000
Nd 0.0000 0.0000 0.5154
Cd 0.5000 0.5000 0.2474
Ag 0.5000 0.5000 0.7774

Principal peaks in the range 2θ from 10° to 90°, by intensity:
d = 2.659 Å, 33.70°, intensity 100
d = 2.645 Å, 33.89°, intensity 50
d = 1.530 Å, 60.52°, intensity 36
d = 1.870 Å, 48.68°, intensity 18
d = 1.538 Å, 60.16°, intensity 17
d = 1.330 Å, 70.87°, intensity 10
d = 1.891 Å, 48.13°, intensity 8
d = 1.183 Å, 81.34°, intensity 8
d = 1.184 Å, 81.23°, intensity 8
d = 1.194 Å, 80.39°, intensity 7

***

10.
For H3Pd3Pt, a crystal structure in Alexandria, relaxed with GGA-PBE gives the theoretical powder diffractogram in this record (CuKα).
Lines closer than 0.1° are merged.

Structural model:
Unit cell a=7.1373 b=7.1373 c=7.1373 alpha=108.62 beta=108.62 gamma=111.19
Fractional positions:
H 0.2224 0.7366 0.1959
H 0.2456 0.2048 0.7509
H 0.2634 0.4593 0.4857
H 0.4539 0.4947 0.2491
H 0.4639 0.2258 0.4388
H 0.5053 0.7544 0.9592
H 0.5407 0.0264 0.8041
H 0.7742 0.2130 0.2381
H 0.7870 0.0252 0.5612
H 0.7952 0.5461 0.0408
H 0.9736 0.7776 0.5143
H 0.9748 0.5361 0.7619
Pd 0.9996 0.4979 0.2491
Pd 0.2495 0.0004 0.4983
Pd 0.2488 0.7505 0.7509
Pd 0.2507 0.5010 0.0014
Pd 0.4990 0.5004 0.7497
Pd 0.5005 0.0009 0.2505
Pd 0.4996 0.2493 0.9986
Pd 0.5021 0.7512 0.5017
Pd 0.7504 0.2500 0.7495
Pd 0.7500 0.4995 0.5004
Pd 0.7507 0.7493 0.2503
Pd 0.9991 0.2496 0.4996
Pt 0.0027 0.0007 0.7576
Pt 0.2431 0.2451 0.2424
Pt 0.7549 0.9973 0.9980
Pt 0.9993 0.7569 0.0020

Principal peaks in the range 2θ from 10° to 90°, by intensity:
d = 2.378 Å, 37.83°, intensity 100
d = 2.082 Å, 43.47°, intensity 35
d = 1.252 Å, 76.03°, intensity 26
d = 1.448 Å, 64.31°, intensity 21
d = 2.017 Å, 44.95°, intensity 16
d = 1.223 Å, 78.16°, intensity 12
d = 1.472 Å, 63.16°, intensity 11
d = 1.189 Å, 80.84°, intensity 11
d = 5.794 Å, 15.29°, intensity 6
d = 5.889 Å, 15.05°, intensity 3

***

11.
For LaY7Er3, a crystal structure in Alexandria, relaxed with GGA-PBE gives the theoretical powder diffractogram in this record (CuKα).
Lines closer than 0.1° are merged.

Structural model:
Unit cell a=8.4561 b=8.4561 c=8.4561 alpha=139.76 beta=97.61 gamma=95.98
Fractional positions:
La 0.0000 0.0000 0.0000
Y 0.0000 0.5000 0.5000
Y 0.0993 0.3043 0.7951
Y 0.2958 0.0000 0.2958
Y 0.4908 0.6957 0.7951
Y 0.5092 0.3043 0.2049
Y 0.7042 0.0000 0.7042
Y 0.9007 0.6957 0.2049
Er 0.2945 0.7945 0.5000
Er 0.5000 0.5000 0.0000
Er 0.7055 0.2055 0.5000

Principal peaks in the range 2θ from 10° to 90°, by intensity:
d = 2.739 Å, 32.70°, intensity 100
d = 2.752 Å, 32.54°, intensity 86
d = 2.909 Å, 30.74°, intensity 66
d = 3.812 Å, 23.34°, intensity 42
d = 2.785 Å, 32.14°, intensity 33
d = 2.012 Å, 45.07°, intensity 26
d = 2.830 Å, 31.62°, intensity 24
d = 1.645 Å, 55.90°, intensity 21
d = 1.481 Å, 62.72°, intensity 19
d = 2.028 Å, 44.68°, intensity 18

***

12.
For Th6ZnTc2, a crystal structure in Alexandria, relaxed with GGA-PBE gives the theoretical powder diffractogram in this record (CuKα).
Lines closer than 0.1° are merged.

Structural model:
Unit cell a=8.6242 b=8.6242 c=8.6242 alpha=113.98 beta=112.64 gamma=102.04
Fractional positions:
Th 0.0421 0.2392 0.8029
Th 0.1794 0.2918 0.4712
Th 0.1794 0.7082 0.8876
Th 0.3341 0.0304 0.6964
Th 0.3341 0.6377 0.3036
Th 0.4364 0.2392 0.1971
Th 0.5636 0.7608 0.8029
Th 0.6659 0.3623 0.6964
Th 0.6659 0.9696 0.3036
Th 0.8206 0.2918 0.1124
Th 0.8206 0.7082 0.5288
Th 0.9579 0.7608 0.1971
Zn 0.0000 0.0000 0.0000
Zn 0.5000 0.5000 0.0000
Tc 0.1389 0.6389 0.5000
Tc 0.3247 0.0000 0.3247
Tc 0.6753 0.0000 0.6753
Tc 0.8611 0.3611 0.5000

Principal peaks in the range 2θ from 10° to 90°, by intensity:
d = 2.851 Å, 31.37°, intensity 100
d = 2.638 Å, 33.98°, intensity 79
d = 2.745 Å, 32.62°, intensity 72
d = 2.564 Å, 35.00°, intensity 62
d = 1.551 Å, 59.59°, intensity 47
d = 2.359 Å, 38.14°, intensity 45
d = 3.552 Å, 25.07°, intensity 38
d = 2.547 Å, 35.24°, intensity 37
d = 3.382 Å, 26.35°, intensity 34
d = 2.977 Å, 30.02°, intensity 33